# Rb3CrO4
Computed powder diffractogram, copper Kα. Input: a DFT-relaxed cell (GGA+U, Alexandria).

The 10 most intense peaks (2θ = 5–70°), low angle first:
- 23.9°, I = 20, hkl 2 1 0
- 28.1°, I = 100, hkl 0 2 2
- 29.4°, I = 67, hkl 2 2 0
- 29.6°, I = 65, hkl 2 0 2
- 31.3°, I = 17, hkl 2 1 2
- 37.0°, I = 15, hkl 2 3 0
- 39.9°, I = 23, hkl 0 4 0
- 40.4°, I = 20, hkl 0 0 4
- 50.4°, I = 17, hkl 2 4 2
- 50.8°, I = 20, hkl 2 2 4

a b c (Å): 8.1855 9.0422 8.9349
angles (deg): 90.00 90.00 90.00
Space group Pnma (No. 62)
Unique sites:
Rb: 0.0361 0.0241 0.2219
Rb: 0.1757 0.7500 0.4812
Cr: 0.2257 0.7500 0.9839
O: 0.0266 0.7500 0.0533
O: 0.1806 0.0877 0.5389
O: 0.2225 0.7500 0.7883